For La4MnO8, DFT lattice parameters and positions (PBE+U) gives the calculated powder X-ray diffraction pattern in this record (Cu Kα, 1.54184 Å).
Lines closer than 0.1° are merged.

The 12 most intense peaks (10° ≤ 2θ ≤ 90°), low angle first:
2θ 24.36, I = 76; 2θ 28.07, I = 32; 2θ 31.55, I = 100; 2θ 33.13, I = 42; 2θ 33.29, I = 41; 2θ 42.72, I = 36; 2θ 43.96, I = 32; 2θ 44.09, I = 32; 2θ 47.67, I = 43; 2θ 56.07, I = 20; 2θ 56.24, I = 19; 2θ 58.19, I = 18

Atomic structure:
```
La4MnO8
1.0
2.6915 -6.3581 0.0000
2.6915 6.3581 0.0000
0.0000 0.0000 5.4081
La Mn O
4 1 8
direct
0.1335 0.8665 0.0000
0.3651 0.6349 0.5000
0.6349 0.3651 0.5000
0.8665 0.1335 0.0000
0.5000 0.5000 0.0000
0.1891 0.8109 0.5000
0.2506 0.2506 0.2385
0.2506 0.2506 0.7615
0.3376 0.6624 0.0000
0.6624 0.3376 0.0000
0.7494 0.7494 0.2385
0.7494 0.7494 0.7615
0.8109 0.1891 0.5000
```

---

For Li2MnPHO5, DFT lattice parameters and positions (PBE+U) gives the calculated powder X-ray diffraction pattern in this record (Cu Kα, 1.54184 Å).
Lines closer than 0.1° are merged.

The 12 most intense peaks (10° ≤ 2θ ≤ 90°), low angle first:
2θ 17.04, I = 29; 2θ 17.50, I = 20; 2θ 17.60, I = 37; 2θ 25.50, I = 100; 2θ 25.62, I = 79; 2θ 25.74, I = 23; 2θ 26.80, I = 81; 2θ 34.28, I = 23; 2θ 35.66, I = 45; 2θ 38.47, I = 20; 2θ 42.57, I = 20; 2θ 52.83, I = 29

Atomic structure:
```
Li2MnPHO5
1.0
5.4522 0.0000 0.0000
-0.3815 5.5823 0.0000
-2.4867 -2.6555 6.8220
Li Mn P H O
4 2 2 2 10
direct
0.0000 0.0000 0.0000
0.0354 0.7500 0.3353
0.3085 0.2997 0.9565
0.7260 0.4506 0.3786
0.5174 0.8754 0.1673
0.5169 0.8750 0.6682
0.1827 0.2521 0.3958
0.8520 0.4979 0.9394
0.1877 0.7911 0.8027
0.8466 0.9591 0.5327
0.1352 0.6279 0.0974
0.1726 0.5385 0.4964
0.2471 0.1020 0.5366
0.3328 0.9362 0.8911
0.3793 0.2316 0.2850
0.6556 0.5187 0.0505
0.7016 0.8139 0.4442
0.7876 0.6479 0.7985
0.8622 0.2115 0.8389
0.8995 0.1221 0.2376
```

---

For MgV4Ag2O11, DFT lattice parameters and positions (PBE+U) gives the calculated powder X-ray diffraction pattern in this record (Cu Kα, 1.54184 Å).
Lines closer than 0.1° are merged.

The 12 most intense peaks (10° ≤ 2θ ≤ 90°), low angle first:
2θ 11.30, I = 30; 2θ 22.71, I = 19; 2θ 26.98, I = 32; 2θ 29.26, I = 44; 2θ 29.58, I = 100; 2θ 31.95, I = 36; 2θ 34.68, I = 32; 2θ 36.47, I = 35; 2θ 36.60, I = 19; 2θ 40.41, I = 19; 2θ 49.24, I = 30; 2θ 55.49, I = 17

Atomic structure:
```
MgV4Ag2O11
1.0
3.7007 0.0000 0.0000
1.8236 7.8373 0.0000
1.8412 2.8442 7.8316
Mg V Ag O
1 4 2 11
direct
0.0000 0.0000 0.0000
0.1208 0.2456 0.5185
0.3118 0.2709 0.1096
0.6629 0.9253 0.7503
0.8308 0.9693 0.3700
0.3848 0.5819 0.6506
0.5772 0.6051 0.2463
0.1245 0.0112 0.7431
0.1569 0.3937 0.2996
0.2889 0.4707 0.9571
0.2917 0.0408 0.3783
0.4482 0.1170 0.9882
0.6265 0.7938 0.9590
0.6505 0.1670 0.5369
0.7998 0.7924 0.6056
0.8136 0.2084 0.1681
0.9617 0.8289 0.2489
0.9952 0.4002 0.6174
```

---

For Mg6CrNiO8, DFT lattice parameters and positions (PBE+U) gives the calculated powder X-ray diffraction pattern in this record (Cu Kα, 1.54184 Å).
Lines closer than 0.1° are merged.

The 12 most intense peaks (10° ≤ 2θ ≤ 90°), low angle first:
2θ 10.48, I = 43; 2θ 21.04, I = 9; 2θ 29.32, I = 8; 2θ 31.21, I = 13; 2θ 36.37, I = 38; 2θ 41.94, I = 100; 2θ 42.84, I = 47; 2θ 60.81, I = 28; 2θ 61.50, I = 54; 2θ 72.96, I = 13; 2θ 74.23, I = 6; 2θ 77.23, I = 25

Atomic structure:
```
Mg6CrNiO8
1.0
4.3084 0.0000 0.0000
0.0000 4.3084 0.0000
0.0000 0.0000 8.4438
Mg Cr Ni O
6 1 1 8
direct
0.0000 0.0000 0.0000
0.0000 0.5000 0.2516
0.0000 0.5000 0.7484
0.5000 0.0000 0.2516
0.5000 0.0000 0.7484
0.5000 0.5000 0.0000
0.0000 0.0000 0.5000
0.5000 0.5000 0.5000
0.0000 0.0000 0.2500
0.0000 0.0000 0.7500
0.0000 0.5000 0.0000
0.0000 0.5000 0.5000
0.5000 0.0000 0.0000
0.5000 0.0000 0.5000
0.5000 0.5000 0.2480
0.5000 0.5000 0.7520
```